Diffraction record for LiCoO2. The powder XRD pattern is computed, not measured: it uses the PBE+U geometry in the Materials Project and Cu Kα (weighted mean of Kα1 and Kα2).

Structural model:
```
data_LiCoO2
_chemical_formula_sum 'Li5 Co5 O10'
_space_group_name_H-M_alt 'P -1'
_space_group_IT_number 2
_space_group_name_Hall '-P 1'
_cell_length_a 4.9534
_cell_length_b 5.0035
_cell_length_c 7.5731
_cell_angle_alpha 108.77
_cell_angle_beta 102.85
_cell_angle_gamma 99.45
loop_
_atom_site_label
_atom_site_type_symbol
_atom_site_fract_x
_atom_site_fract_y
_atom_site_fract_z
Li1 Li 0.0000 0.0000 0.0000
Li2 Li 0.1081 0.2109 0.7209
Li3 Li 0.2870 0.5854 0.0853
Co1 Co 0.1974 0.3970 0.3989
Co2 Co 0.3975 0.8015 0.8055
Co3 Co 0.5000 0.0000 0.5000
O1 O 0.0541 0.6095 0.8336
O2 O 0.1525 0.7736 0.5514
O3 O 0.2725 0.0275 0.2694
O4 O 0.3697 0.1770 0.9516
O5 O 0.4622 0.4189 0.6424
```

Top 10 peaks for 2θ = 15–90°, in order of rising 2θ:
18.87 deg, rel. 100, hkl 0 1 -1
19.01 deg, rel. 37, hkl 1 0 0
23.48 deg, rel. 25, hkl 1 -1 0
27.38 deg, rel. 21, hkl 1 0 -2
36.84 deg, rel. 30, hkl 1 0 2
38.28 deg, rel. 26, hkl 0 2 -2
44.30 deg, rel. 68, hkl -1 2 1
44.66 deg, rel. 62, hkl 2 1 -2
44.90 deg, rel. 60, hkl 1 -1 3
65.00 deg, rel. 36, hkl -3 1 3